NaMo4O8: simulated powder diffraction line list (Cu Kα (weighted mean of Kα1 and Kα2)), based on a GGA+U-relaxed structure.
No peak broadening, texture or thermal motion is included.

```
data_NaMo4O8
_chemical_formula_sum 'Na2 Mo8 O16'
_cell_length_a 11.4375
_cell_length_b 6.1779
_cell_length_c 6.8540
_cell_angle_alpha 90.00
_cell_angle_beta 120.60
_cell_angle_gamma 90.00
_symmetry_space_group_name_H-M 'C 1 2/m 1'
_symmetry_Int_Tables_number 12
loop_
_symmetry_equiv_pos_as_xyz
'x,y,z'
'-x,-y,-z'
'-x,y,-z'
'x,-y,z'
'x+1/2,y+1/2,z'
'-x+1/2,-y+1/2,-z'
'-x+1/2,y+1/2,-z'
'x+1/2,-y+1/2,z'
loop_
_atom_site_label
_atom_site_type_symbol
_atom_site_fract_x
_atom_site_fract_y
_atom_site_fract_z
Na1 Na 0.0000 0.0000 0.0000
Mo1 Mo 0.0000 0.2483 0.5000
Mo2 Mo 0.2421 0.5000 0.4801
O1 O 0.1090 0.2393 0.3219
O2 O 0.1334 0.0000 0.6753
O3 O 0.1337 0.5000 0.6612
```

Peak list (8 most intense, 10 to 90 degrees two-theta, low angle first)
d_spacing	Rel. int.	hkl
5.900	100	0 0 1
2.950	11	0 0 2
2.675	29	4 0 -2
2.616	21	2 2 0
2.183	23	2 2 1
2.165	9	4 0 -3
1.827	7	2 2 -3
1.544	12	0 4 0